For Sm2V2O7, a DFT-relaxed cell (GGA+U, the Materials Project) gives the calculated powder X-ray diffraction pattern in this record (Cu Kα (λ = 1.5418 Å)).
Neutral-atom scattering factors, no anomalous dispersion.

```
data_Sm2V2O7
_symmetry_space_group_name_H-M 'P -1'
_symmetry_Int_Tables_number 2
_symmetry_space_group_name_Hall '-P 1'
_cell_length_a 6.9349
_cell_length_b 7.0116
_cell_length_c 12.6193
_cell_angle_alpha 99.70
_cell_angle_beta 100.56
_cell_angle_gamma 92.12
loop_
_atom_site_label
_atom_site_type_symbol
_atom_site_fract_x
_atom_site_fract_y
_atom_site_fract_z
Sm1 Sm 0.1643 0.1172 0.1314
Sm2 Sm 0.2395 0.7810 0.6270
Sm3 Sm 0.2807 0.2170 0.8610
Sm4 Sm 0.3265 0.5256 0.3606
V1 V 0.1817 0.6658 0.1054
V2 V 0.1866 0.3214 0.6044
V3 V 0.2356 0.0100 0.3780
V4 V 0.3478 0.6931 0.8808
O1 O 0.0044 0.4889 0.6223
O2 O 0.0127 0.1787 0.9583
O3 O 0.0792 0.1620 0.4573
O4 O 0.0976 0.8579 0.2529
O5 O 0.1770 0.4635 0.1747
O6 O 0.1897 0.8642 0.8176
O7 O 0.2439 0.5372 0.9641
O8 O 0.2799 0.1234 0.6684
O9 O 0.3293 0.8354 0.4608
O10 O 0.3482 0.4801 0.5467
O11 O 0.3637 0.5048 0.7617
O12 O 0.3691 0.1869 0.3188
O13 O 0.3853 0.8416 0.1332
O14 O 0.4164 0.2021 0.0476
```

Principal peaks in the range 10 to 90 degrees two-theta, low angle first:
index  2θ (°)  I_rel
0 1 -1  13.6  21
2 0 0  26.2  85
2 0 -2  27.5  46
0 2 1  28.1  25
0 0 4  29.3  100
-1 2 1  29.7  56
1 2 1  32.5  58
1 2 -3  32.6  37
2 0 -4  35.6  25
2 0 4  43.5  31